# CeMoO6
Calculated X-ray powder pattern, Cu Kα (weighted mean of Kα1 and Kα2). Input: DFT lattice parameters and positions (GGA+U).

Main lines, in order of rising 2θ (2θ = 10–90°):
| 2θ/deg | I/Imax |
| --- | --- |
| 21.31 | 100 |
| 30.32 | 46 |
| 43.41 | 22 |
| 48.84 | 40 |
| 53.86 | 18 |
| 63.06 | 12 |
| 67.38 | 18 |
| 71.57 | 9 |
| 83.62 | 8 |
| 87.55 | 10 |

Structural model:
Unit cell a=8.339 b=8.339 c=8.339 alpha=90.00 beta=90.00 gamma=90.00
Space group Fm-3m (No. 225)
Asymmetric unit:
Ce 0.000 0.000 0.000 [4 per cell]
Mo 0.000 0.000 0.500 [4 per cell]
O 0.000 0.000 0.269 [24 per cell]